Record 1
Structure and theoretical powder XRD pattern of Li3MnF6 (a cell relaxed with PBE+U; λ = 1.5418 Å (Cu Kα)).
Peak positions follow from Bragg's law for the DFT cell and can differ from measured ones.

Cell and atoms:
a = 8.5654 Å, b = 8.5654 Å, c = 10.3944 Å
α = 96.47°, β = 96.47°, γ = 61.19°
Positions (direct):
1 Li 0.0080 0.7141 0.2223
2 Li 0.0574 0.3412 0.4306
3 Li 0.1419 0.5243 0.9515
4 Li 0.1977 0.8023 0.7500
5 Li 0.2859 0.9920 0.2777
6 Li 0.3291 0.6200 0.4670
7 Li 0.3412 0.0574 0.9306
8 Li 0.3800 0.6709 0.0330
9 Li 0.4757 0.8581 0.5485
10 Li 0.5243 0.1419 0.4515
11 Li 0.6200 0.3291 0.9670
12 Li 0.6588 0.9426 0.0694
13 Li 0.6709 0.3800 0.5330
14 Li 0.7141 0.0080 0.7223
15 Li 0.8023 0.1977 0.2500
16 Li 0.8581 0.4757 0.0485
17 Li 0.9426 0.6588 0.5694
18 Li 0.9920 0.2859 0.7777
19 Mn 0.0000 0.0000 0.0000
20 Mn 0.0000 0.0000 0.5000
21 Mn 0.3335 0.3366 0.7031
22 Mn 0.3366 0.3335 0.2031
23 Mn 0.6634 0.6665 0.7969
24 Mn 0.6665 0.6634 0.2969
25 F 0.0663 0.0747 0.1637
26 F 0.0747 0.0663 0.6637
27 F 0.0857 0.7633 0.0602
28 F 0.1064 0.4139 0.6076
29 F 0.1067 0.7471 0.5701
30 F 0.1087 0.4258 0.1111
31 F 0.2172 0.2678 0.8457
32 F 0.2367 0.9143 0.4398
33 F 0.2412 0.5557 0.3027
34 F 0.2466 0.5600 0.8007
35 F 0.2529 0.8933 0.9299
36 F 0.2678 0.2172 0.3457
37 F 0.4003 0.4384 0.0548
38 F 0.4139 0.1064 0.1076
39 F 0.4258 0.1087 0.6111
40 F 0.4384 0.4003 0.5548
41 F 0.4400 0.7534 0.6993
42 F 0.4443 0.7588 0.1973
43 F 0.5557 0.2412 0.8027
44 F 0.5600 0.2466 0.3007
45 F 0.5616 0.5997 0.4452
46 F 0.5742 0.8913 0.3889
47 F 0.5861 0.8936 0.8924
48 F 0.5997 0.5616 0.9452
49 F 0.7322 0.7828 0.6543
50 F 0.7471 0.1067 0.0701
51 F 0.7534 0.4400 0.1993
52 F 0.7588 0.4443 0.6973
53 F 0.7633 0.0857 0.5602
54 F 0.7828 0.7322 0.1543
55 F 0.8913 0.5742 0.8889
56 F 0.8933 0.2529 0.4299
57 F 0.8936 0.5861 0.3924
58 F 0.9143 0.2367 0.9398
59 F 0.9253 0.9337 0.3363
60 F 0.9337 0.9253 0.8363

Top 12 peaks for 10° ≤ 2θ ≤ 90°, sorted by position:
4.384 Å, intensity 67; 4.360 Å, intensity 38; 4.254 Å, intensity 100; 3.974 Å, intensity 38; 3.184 Å, intensity 31; 2.937 Å, intensity 27; 2.308 Å, intensity 26; 2.249 Å, intensity 27; 2.190 Å, intensity 43; 1.856 Å, intensity 27; 1.664 Å, intensity 25; 1.488 Å, intensity 20

=====

Record 2
Structure and theoretical powder XRD pattern of LiMnF3 (a cell relaxed with PBE+U; λ = 1.5418 Å (Cu Kα)).
Peak positions follow from Bragg's law for the DFT cell and can differ from measured ones.

Cell and atoms:
a = 11.2051 Å, b = 7.3230 Å, c = 5.3767 Å
α = 90.00°, β = 90.00°, γ = 90.00°
Positions (direct):
1 Li 0.1173 0.0072 0.1359
2 Li 0.1173 0.4928 0.1359
3 Li 0.3827 0.5072 0.6359
4 Li 0.3827 0.9928 0.6359
5 Li 0.6173 0.0072 0.3641
6 Li 0.6173 0.4928 0.3641
7 Li 0.8827 0.5072 0.8641
8 Li 0.8827 0.9928 0.8641
9 Mn 0.1003 0.7500 0.6471
10 Mn 0.1735 0.2500 0.6720
11 Mn 0.3265 0.7500 0.1720
12 Mn 0.3997 0.2500 0.1471
13 Mn 0.6003 0.7500 0.8529
14 Mn 0.6735 0.2500 0.8280
15 Mn 0.8265 0.7500 0.3280
16 Mn 0.8997 0.2500 0.3529
17 F 0.0497 0.0441 0.7705
18 F 0.0497 0.4559 0.7705
19 F 0.0904 0.2500 0.3023
20 F 0.1522 0.7500 0.0209
21 F 0.2201 0.5725 0.4471
22 F 0.2201 0.9275 0.4471
23 F 0.2799 0.0725 0.9471
24 F 0.2799 0.4275 0.9471
25 F 0.3478 0.2500 0.5209
26 F 0.4096 0.7500 0.8023
27 F 0.4503 0.5441 0.2705
28 F 0.4503 0.9559 0.2705
29 F 0.5497 0.0441 0.7295
30 F 0.5497 0.4559 0.7295
31 F 0.5904 0.2500 0.1977
32 F 0.6522 0.7500 0.4791
33 F 0.7201 0.5725 0.0529
34 F 0.7201 0.9275 0.0529
35 F 0.7799 0.0725 0.5529
36 F 0.7799 0.4275 0.5529
37 F 0.8478 0.2500 0.9791
38 F 0.9096 0.7500 0.6977
39 F 0.9503 0.5441 0.2295
40 F 0.9503 0.9559 0.2295

Top 12 peaks for 10° ≤ 2θ ≤ 90°, sorted by position:
4.847 Å, intensity 29; 3.879 Å, intensity 100; 3.662 Å, intensity 54; 3.428 Å, intensity 60; 2.663 Å, intensity 39; 2.224 Å, intensity 56; 2.181 Å, intensity 36; 2.128 Å, intensity 43; 1.831 Å, intensity 28; 1.715 Å, intensity 33; 1.676 Å, intensity 31; 1.593 Å, intensity 29

=====

Record 3
Structure and theoretical powder XRD pattern of LiMnF5 (a cell relaxed with PBE+U; λ = 1.5418 Å (Cu Kα)).
Peak positions follow from Bragg's law for the DFT cell and can differ from measured ones.

Cell and atoms:
a = 7.2822 Å, b = 8.2107 Å, c = 9.2435 Å
α = 98.45°, β = 95.65°, γ = 100.82°
Positions (direct):
1 Li 0.1531 0.4122 0.2226
2 Li 0.2794 0.3253 0.8974
3 Li 0.2988 0.9227 0.6817
4 Li 0.7012 0.0773 0.3183
5 Li 0.7206 0.6747 0.1026
6 Li 0.8469 0.5878 0.7774
7 Mn 0.1724 0.0036 0.2796
8 Mn 0.3027 0.7107 0.9822
9 Mn 0.3342 0.3778 0.5362
10 Mn 0.6658 0.6222 0.4638
11 Mn 0.6973 0.2893 0.0178
12 Mn 0.8276 0.9964 0.7204
13 F 0.0886 0.0300 0.7460
14 F 0.1071 0.6491 0.8315
15 F 0.1499 0.8252 0.1178
16 F 0.1655 0.8650 0.4145
17 F 0.1659 0.1793 0.4388
18 F 0.1811 0.4886 0.4375
19 F 0.1858 0.1670 0.1614
20 F 0.2052 0.3668 0.6897
21 F 0.2118 0.5067 0.0499
22 F 0.3679 0.8951 0.9016
23 F 0.4274 0.0479 0.3153
24 F 0.4481 0.5937 0.8827
25 F 0.4916 0.2575 0.6015
26 F 0.4962 0.4150 0.3806
27 F 0.4970 0.2273 0.8730
28 F 0.5030 0.7727 0.1270
29 F 0.5038 0.5850 0.6194
30 F 0.5084 0.7425 0.3985
31 F 0.5519 0.4063 0.1173
32 F 0.5726 0.9521 0.6847
33 F 0.6321 0.1049 0.0984
34 F 0.7882 0.4933 0.9501
35 F 0.7948 0.6332 0.3103
36 F 0.8142 0.8330 0.8386
37 F 0.8189 0.5114 0.5625
38 F 0.8341 0.8207 0.5612
39 F 0.8345 0.1350 0.5855
40 F 0.8501 0.1748 0.8822
41 F 0.8929 0.3509 0.1685
42 F 0.9114 0.9700 0.2540

Top 12 peaks for 10° ≤ 2θ ≤ 90°, sorted by position:
5.005 Å, intensity 100; 4.924 Å, intensity 13; 4.823 Å, intensity 11; 4.641 Å, intensity 53; 4.260 Å, intensity 12; 4.066 Å, intensity 17; 3.679 Å, intensity 41; 3.546 Å, intensity 11; 3.407 Å, intensity 21; 3.276 Å, intensity 21; 2.851 Å, intensity 12; 2.045 Å, intensity 13

=====

Record 4
Structure and theoretical powder XRD pattern of LiMnF3 (a cell relaxed with PBE+U; λ = 1.5418 Å (Cu Kα)).
Peak positions follow from Bragg's law for the DFT cell and can differ from measured ones.

Cell and atoms:
a = 5.9370 Å, b = 5.9382 Å, c = 11.6770 Å
α = 89.97°, β = 89.91°, γ = 60.01°
Positions (direct):
1 Li 0.0000 0.0000 0.0000
2 Li 0.0002 0.3254 0.4995
3 Li 0.3255 0.6752 0.4996
4 Li 0.3296 0.3276 0.0008
5 Li 0.6512 0.9993 0.4990
6 Li 0.6558 0.6710 0.0008
7 Mn 0.3267 0.9991 0.2459
8 Mn 0.3289 0.9997 0.7516
9 Mn 0.6610 0.3322 0.2178
10 Mn 0.6620 0.3327 0.7165
11 Mn 0.9937 0.6656 0.2826
12 Mn 0.9953 0.6659 0.7835
13 F 0.0146 0.9559 0.1725
14 F 0.0180 0.3532 0.6739
15 F 0.2847 0.3552 0.1726
16 F 0.2861 0.6885 0.6740
17 F 0.3257 0.0004 0.5009
18 F 0.3283 0.9999 0.0033
19 F 0.3698 0.6477 0.3263
20 F 0.3727 0.3096 0.8279
21 F 0.6356 0.0420 0.3262
22 F 0.6394 0.6456 0.8279
23 F 0.6605 0.3328 0.5336
24 F 0.6619 0.3330 0.0345
25 F 0.6816 0.9564 0.6737
26 F 0.6835 0.6860 0.1727
27 F 0.9747 0.0428 0.8276
28 F 0.9755 0.3074 0.3262
29 F 0.9920 0.6669 0.4655
30 F 0.9956 0.6662 0.9665

Top 12 peaks for 10° ≤ 2θ ≤ 90°, sorted by position:
5.838 Å, intensity 100; 3.859 Å, intensity 15; 2.969 Å, intensity 62; 2.919 Å, intensity 17; 2.877 Å, intensity 15; 2.646 Å, intensity 20; 2.361 Å, intensity 16; 2.353 Å, intensity 14; 2.082 Å, intensity 56; 1.820 Å, intensity 15; 1.714 Å, intensity 44; 1.645 Å, intensity 14